Computed X-ray powder pattern of Tb2CdSn for Cu Kα X-rays, from a structure optimized by DFT (PBE).
No peak broadening, texture or thermal motion is included.

Main lines, by angle (2θ = 5–70°):
2θ/deg	I/Imax
30.13	100.0
30.37	26.3
36.26	31.0
37.10	26.3
37.34	25.0
39.29	27.4

Cell and atoms:
Lattice parameters (Å, degrees): 6.2546 4.5867 8.2414 90.00 109.74 90.00
Fractional positions:
Tb 0.2003 0.2500 0.4244
Tb 0.2115 0.2500 0.9267
Tb 0.7885 0.7500 0.0733
Tb 0.7997 0.7500 0.5756
Cd 0.3279 0.7500 0.2076
Cd 0.6721 0.2500 0.7924
Sn 0.3406 0.7500 0.7084
Sn 0.6594 0.2500 0.2916



Computed X-ray powder pattern of Pm4HgRh2 for Cu Kα X-rays, from a structure optimized by DFT (PBE).
No peak broadening, texture or thermal motion is included.

Main lines, by angle (2θ = 5–70°):
2θ/deg	I/Imax
28.55	64.5
31.41	100.0
32.53	83.3
32.64	48.4
35.42	61.3
39.82	42.6

Cell and atoms:
Lattice parameters (Å, degrees): 8.6427 8.6427 7.1413 107.68 107.68 119.81
Fractional positions:
Pm 0.0280 0.9720 0.5000
Pm 0.0753 0.4325 0.8250
Pm 0.3502 0.8261 0.6785
Pm 0.4325 0.0753 0.3250
Pm 0.4865 0.5652 0.3568
Pm 0.5652 0.4865 0.8568
Pm 0.8261 0.3502 0.1785
Pm 0.9720 0.0280 0.0000
Hg 0.6225 0.8839 0.1652
Hg 0.8839 0.6225 0.6652
Rh 0.0329 0.7066 0.1523
Rh 0.1801 0.3615 0.4684
Rh 0.3615 0.1801 0.9684
Rh 0.7066 0.0329 0.6523



Computed X-ray powder pattern of Sr3LiNi for Cu Kα X-rays, from a structure optimized by DFT (PBE).
No peak broadening, texture or thermal motion is included.

Main lines, by angle (2θ = 5–70°):
2θ/deg	I/Imax
9.82	81.3
11.73	80.9
26.15	100.0
27.88	70.8
28.79	56.4
31.78	59.4

Cell and atoms:
Lattice parameters (Å, degrees): 9.3451 4.2320 9.6302 90.00 105.40 90.00
Fractional positions:
Sr 0.0599 0.2500 0.2410
Sr 0.3002 0.7500 0.5745
Sr 0.3061 0.2500 0.9306
Sr 0.6939 0.7500 0.0694
Sr 0.6998 0.2500 0.4255
Sr 0.9401 0.7500 0.7590
Li 0.3816 0.7500 0.2308
Li 0.6184 0.2500 0.7692
Ni 0.0379 0.2500 0.5541
Ni 0.9621 0.7500 0.4459